(1)
The following is a calculated powder diffraction line list of NaPr4I7N2. It was derived from DFT lattice parameters and positions (PBE), using Cu Kα (weighted mean of Kα1 and Kα2).
Intensities are scaled so that the largest is 100.

Main lines, by angle (10° ≤ 2θ ≤ 80°):
- hkl 2 1 3, 26.3°, rel. 19
- hkl 1 2 3, 27.8°, rel. 24
- hkl 3 2 2, 28.4°, rel. 100
- hkl 0 0 4, 29.3°, rel. 22
- hkl 3 3 0, 30.2°, rel. 15
- hkl 0 4 0, 31.9°, rel. 15

Cell and atoms:
```
data_NaPr4I7N2
_cell_length_a 14.515
_cell_length_b 11.237
_cell_length_c 12.196
_cell_angle_alpha 90.00
_cell_angle_beta 90.00
_cell_angle_gamma 90.00
_space_group_name_H-M_alt 'P n a 21'
_space_group_IT_number 33
loop_
_space_group_symop_operation_xyz
'x,y,z'
'-x,-y,z+1/2'
'-x+1/2,y+1/2,z+1/2'
'x+1/2,-y+1/2,z'
loop_
_atom_site_label
_atom_site_type_symbol
_atom_site_fract_x
_atom_site_fract_y
_atom_site_fract_z
Na1 Na 0.097 0.050 0.000
Pr1 Pr 0.082 0.376 0.326
Pr2 Pr 0.085 0.623 0.560
Pr3 Pr 0.087 0.396 0.803
Pr4 Pr 0.101 0.583 0.066
I1 I 0.015 0.848 0.704
I2 I 0.022 0.190 0.534
I3 I 0.047 0.819 0.359
I4 I 0.204 0.312 0.038
I5 I 0.225 0.629 0.839
I6 I 0.231 0.406 0.576
I7 I 0.246 0.566 0.280
N1 N 0.003 0.485 0.189
N2 N 0.003 0.495 0.938
```

(2)
The following is a calculated powder diffraction line list of NiI2N2. It was derived from DFT lattice parameters and positions (PBE), using Cu Kα (weighted mean of Kα1 and Kα2).
Intensities are scaled so that the largest is 100.

Main lines, by angle (10° ≤ 2θ ≤ 80°):
- hkl 2 0 0, 28.0°, rel. 76
- hkl 1 1 1, 31.3°, rel. 35
- hkl 0 2 1, 35.3°, rel. 100
- hkl 2 0 1, 37.9°, rel. 35
- hkl 1 3 0, 39.8°, rel. 31
- hkl 2 2 1, 45.6°, rel. 68

Cell and atoms:
```
data_NiI2N2
_cell_length_a 6.377
_cell_length_b 7.278
_cell_length_c 3.553
_cell_angle_alpha 90.00
_cell_angle_beta 90.00
_cell_angle_gamma 90.00
_space_group_name_H-M_alt 'C m m m'
_space_group_IT_number 65
_space_group_name_Hall '-C 2 2'
loop_
_atom_site_label
_atom_site_type_symbol
_atom_site_fract_x
_atom_site_fract_y
_atom_site_fract_z
Ni1 Ni 0.000 0.000 0.000
I1 I 0.000 0.284 0.500
N1 N 0.220 0.500 0.000
```

(3)
The following is a calculated powder diffraction line list of NiI6N6. It was derived from DFT lattice parameters and positions (PBE), using Cu Kα (weighted mean of Kα1 and Kα2).
Intensities are scaled so that the largest is 100.

Main lines, by angle (10° ≤ 2θ ≤ 80°):
- hkl 0 2 0, 12.4°, rel. 63
- hkl 3 1 -1, 20.3°, rel. 67
- hkl 1 3 -1, 24.7°, rel. 100
- hkl 3 1 1, 27.2°, rel. 92
- hkl 5 3 -1, 32.9°, rel. 67
- hkl 2 4 -2, 41.2°, rel. 66

Cell and atoms:
```
data_NiI6N6
_cell_length_a 17.593
_cell_length_b 14.223
_cell_length_c 5.561
_cell_angle_alpha 90.00
_cell_angle_beta 107.57
_cell_angle_gamma 90.00
_space_group_name_H-M_alt 'C 1 2/c 1'
_space_group_IT_number 15
loop_
_space_group_symop_operation_xyz
'x,y,z'
'-x,-y,-z'
'-x,y,-z+1/2'
'x,-y,z+1/2'
'x+1/2,y+1/2,z'
'-x+1/2,-y+1/2,-z'
'-x+1/2,y+1/2,-z+1/2'
'x+1/2,-y+1/2,z+1/2'
loop_
_atom_site_label
_atom_site_type_symbol
_atom_site_fract_x
_atom_site_fract_y
_atom_site_fract_z
Ni1 Ni 0.250 0.250 0.000
I1 I 0.000 0.000 0.000
I2 I 0.000 0.401 0.250
I3 I 0.092 0.229 0.081
I4 I 0.239 0.367 0.473
N1 N 0.169 0.334 0.059
N2 N 0.191 0.222 0.645
N3 N 0.192 0.147 0.116
```

(4)
The following is a calculated powder diffraction line list of NiI2N2. It was derived from DFT lattice parameters and positions (PBE), using Cu Kα (weighted mean of Kα1 and Kα2).
Intensities are scaled so that the largest is 100.

Main lines, by angle (10° ≤ 2θ ≤ 80°):
- hkl 1 1 0, 17.1°, rel. 53
- hkl 2 0 0, 24.6°, rel. 57
- hkl 0 2 1, 34.3°, rel. 71
- hkl 2 2 0, 34.6°, rel. 77
- hkl 2 0 1, 34.8°, rel. 100
- hkl 1 2 1, 36.5°, rel. 77

Cell and atoms:
```
data_NiI2N2
_cell_length_a 7.229
_cell_length_b 7.422
_cell_length_c 3.685
_cell_angle_alpha 90.00
_cell_angle_beta 90.00
_cell_angle_gamma 90.00
_space_group_name_H-M_alt 'P b a m'
_space_group_IT_number 55
loop_
_space_group_symop_operation_xyz
'x,y,z'
'-x,-y,-z'
'-x,-y,z'
'x,y,-z'
'x+1/2,-y+1/2,-z'
'-x+1/2,y+1/2,z'
'-x+1/2,y+1/2,-z'
'x+1/2,-y+1/2,z'
loop_
_atom_site_label
_atom_site_type_symbol
_atom_site_fract_x
_atom_site_fract_y
_atom_site_fract_z
Ni1 Ni 0.000 0.000 0.000
I1 I 0.227 0.191 0.500
N1 N 0.185 0.839 0.000
```

(5)
The following is a calculated powder diffraction line list of PtI2N2. It was derived from DFT lattice parameters and positions (PBE), using Cu Kα (weighted mean of Kα1 and Kα2).
Intensities are scaled so that the largest is 100.

Main lines, by angle (10° ≤ 2θ ≤ 80°):
- hkl 1 1 0, 12.2°, rel. 100
- hkl 2 0 0, 17.3°, rel. 50
- hkl 2 1 1, 26.5°, rel. 30
- hkl 3 1 0, 27.5°, rel. 33
- hkl 4 0 0, 35.0°, rel. 48
- hkl 4 0 2, 51.3°, rel. 32

Cell and atoms:
```
data_PtI2N2
_cell_length_a 10.246
_cell_length_b 10.246
_cell_length_c 4.956
_cell_angle_alpha 90.00
_cell_angle_beta 90.00
_cell_angle_gamma 90.00
_space_group_name_H-M_alt 'P 4/m n c'
_space_group_IT_number 128
_space_group_name_Hall '-P 4 2n'
loop_
_atom_site_label
_atom_site_type_symbol
_atom_site_fract_x
_atom_site_fract_y
_atom_site_fract_z
Pt1 Pt 0.000 0.000 0.000
Pt2 Pt 0.000 0.000 0.500
I1 I 0.004 0.258 0.000
N1 N 0.004 0.199 0.500
```

(6)
The following is a calculated powder diffraction line list of PtI6N4. It was derived from DFT lattice parameters and positions (PBE), using Cu Kα (weighted mean of Kα1 and Kα2).
Intensities are scaled so that the largest is 100.

Main lines, by angle (10° ≤ 2θ ≤ 80°):
- hkl 0 1 1, 13.3°, rel. 56
- hkl 1 1 0, 15.3°, rel. 100
- hkl 0 0 2, 16.4°, rel. 35
- hkl 0 2 2, 26.7°, rel. 36
- hkl 2 2 0, 30.8°, rel. 84
- hkl 2 2 4, 45.9°, rel. 53

Cell and atoms:
```
data_PtI6N4
_cell_length_a 7.955
_cell_length_b 8.492
_cell_length_c 10.819
_cell_angle_alpha 90.00
_cell_angle_beta 90.00
_cell_angle_gamma 90.00
_space_group_name_H-M_alt 'P n n m'
_space_group_IT_number 58
loop_
_space_group_symop_operation_xyz
'x,y,z'
'-x,-y,-z'
'-x,-y,z'
'x,y,-z'
'x+1/2,-y+1/2,-z+1/2'
'-x+1/2,y+1/2,z+1/2'
'-x+1/2,y+1/2,-z+1/2'
'x+1/2,-y+1/2,z+1/2'
loop_
_atom_site_label
_atom_site_type_symbol
_atom_site_fract_x
_atom_site_fract_y
_atom_site_fract_z
Pt1 Pt 0.000 0.000 0.000
I1 I 0.000 0.000 0.235
I2 I 0.234 0.237 0.000
I3 I 0.238 0.276 0.500
N1 N 0.218 0.820 0.178
```

(7)
The following is a calculated powder diffraction line list of Sb2I9N3. It was derived from DFT lattice parameters and positions (PBE), using Cu Kα (weighted mean of Kα1 and Kα2).
Intensities are scaled so that the largest is 100.

Main lines, by angle (10° ≤ 2θ ≤ 80°):
- hkl 2 0 0, 15.5°, rel. 67
- hkl 1 1 -3, 15.7°, rel. 96
- hkl 3 1 0, 25.9°, rel. 100
- hkl 4 0 0, 31.4°, rel. 48
- hkl 2 2 -6, 31.7°, rel. 64
- hkl 3 1 -9, 36.0°, rel. 37

Cell and atoms:
```
data_Sb2I9N3
_cell_length_a 14.005
_cell_length_b 8.112
_cell_length_c 23.575
_cell_angle_alpha 90.00
_cell_angle_beta 125.47
_cell_angle_gamma 90.00
_space_group_name_H-M_alt 'P 1 21/c 1'
_space_group_IT_number 14
loop_
_space_group_symop_operation_xyz
'x,y,z'
'-x,-y,-z'
'-x,y+1/2,-z+1/2'
'x,-y+1/2,z+1/2'
loop_
_atom_site_label
_atom_site_type_symbol
_atom_site_fract_x
_atom_site_fract_y
_atom_site_fract_z
Sb1 Sb 0.009 0.019 0.345
Sb2 Sb 0.487 0.006 0.156
I1 I 0.035 0.697 0.948
I2 I 0.042 0.693 0.611
I3 I 0.045 0.685 0.286
I4 I 0.247 0.090 0.078
I5 I 0.252 0.084 0.422
I6 I 0.252 0.101 0.750
I7 I 0.446 0.672 0.754
I8 I 0.459 0.708 0.085
I9 I 0.466 0.707 0.424
N1 N 0.241 0.524 0.775
N2 N 0.248 0.520 0.436
N3 N 0.258 0.531 0.110
```

(8)
The following is a calculated powder diffraction line list of ThIN. It was derived from DFT lattice parameters and positions (PBE), using Cu Kα (weighted mean of Kα1 and Kα2).
Intensities are scaled so that the largest is 100.

Main lines, by angle (10° ≤ 2θ ≤ 80°):
- hkl 1 0 2, 28.1°, rel. 100
- hkl 1 1 0, 30.7°, rel. 45
- hkl 1 0 3, 34.7°, rel. 30
- hkl 2 0 0, 44.0°, rel. 20
- hkl 2 1 2, 53.0°, rel. 35
- hkl 1 1 5, 55.9°, rel. 16

Cell and atoms:
```
data_ThIN
_cell_length_a 4.120
_cell_length_b 4.120
_cell_length_c 9.971
_cell_angle_alpha 90.00
_cell_angle_beta 90.00
_cell_angle_gamma 90.00
_space_group_name_H-M_alt 'P 4/n m m'
_space_group_IT_number 129
loop_
_space_group_symop_operation_xyz
'x,y,z'
'-x,-y,-z'
'-y+1/2,x,z'
'y+1/2,-x,-z'
'-x+1/2,-y+1/2,z'
'x+1/2,y+1/2,-z'
'y,-x+1/2,z'
'-y,x+1/2,-z'
'x+1/2,-y,-z'
'-x+1/2,y,z'
'-y,-x,-z'
'y,x,z'
'-x,y+1/2,-z'
'x,-y+1/2,z'
'y+1/2,x+1/2,-z'
'-y+1/2,-x+1/2,z'
loop_
_atom_site_label
_atom_site_type_symbol
_atom_site_fract_x
_atom_site_fract_y
_atom_site_fract_z
Th1 Th 0.250 0.250 0.114
I1 I 0.250 0.250 0.684
N1 N 0.250 0.750 0.000
```

Copy entry 5 word for word.
The following is a calculated powder diffraction line list of PtI2N2. It was derived from DFT lattice parameters and positions (PBE), using Cu Kα (weighted mean of Kα1 and Kα2).
Intensities are scaled so that the largest is 100.

Main lines, by angle (10° ≤ 2θ ≤ 80°):
- hkl 1 1 0, 12.2°, rel. 100
- hkl 2 0 0, 17.3°, rel. 50
- hkl 2 1 1, 26.5°, rel. 30
- hkl 3 1 0, 27.5°, rel. 33
- hkl 4 0 0, 35.0°, rel. 48
- hkl 4 0 2, 51.3°, rel. 32

Cell and atoms:
```
data_PtI2N2
_cell_length_a 10.246
_cell_length_b 10.246
_cell_length_c 4.956
_cell_angle_alpha 90.00
_cell_angle_beta 90.00
_cell_angle_gamma 90.00
_space_group_name_H-M_alt 'P 4/m n c'
_space_group_IT_number 128
_space_group_name_Hall '-P 4 2n'
loop_
_atom_site_label
_atom_site_type_symbol
_atom_site_fract_x
_atom_site_fract_y
_atom_site_fract_z
Pt1 Pt 0.000 0.000 0.000
Pt2 Pt 0.000 0.000 0.500
I1 I 0.004 0.258 0.000
N1 N 0.004 0.199 0.500
```

Repeat the sixth record exactly.
The following is a calculated powder diffraction line list of PtI6N4. It was derived from DFT lattice parameters and positions (PBE), using Cu Kα (weighted mean of Kα1 and Kα2).
Intensities are scaled so that the largest is 100.

Main lines, by angle (10° ≤ 2θ ≤ 80°):
- hkl 0 1 1, 13.3°, rel. 56
- hkl 1 1 0, 15.3°, rel. 100
- hkl 0 0 2, 16.4°, rel. 35
- hkl 0 2 2, 26.7°, rel. 36
- hkl 2 2 0, 30.8°, rel. 84
- hkl 2 2 4, 45.9°, rel. 53

Cell and atoms:
```
data_PtI6N4
_cell_length_a 7.955
_cell_length_b 8.492
_cell_length_c 10.819
_cell_angle_alpha 90.00
_cell_angle_beta 90.00
_cell_angle_gamma 90.00
_space_group_name_H-M_alt 'P n n m'
_space_group_IT_number 58
loop_
_space_group_symop_operation_xyz
'x,y,z'
'-x,-y,-z'
'-x,-y,z'
'x,y,-z'
'x+1/2,-y+1/2,-z+1/2'
'-x+1/2,y+1/2,z+1/2'
'-x+1/2,y+1/2,-z+1/2'
'x+1/2,-y+1/2,z+1/2'
loop_
_atom_site_label
_atom_site_type_symbol
_atom_site_fract_x
_atom_site_fract_y
_atom_site_fract_z
Pt1 Pt 0.000 0.000 0.000
I1 I 0.000 0.000 0.235
I2 I 0.234 0.237 0.000
I3 I 0.238 0.276 0.500
N1 N 0.218 0.820 0.178
```